Cs: calculated X-ray diffraction stick pattern (Cu Kα, 1.54184 Å), based on a cell relaxed with GGA-PBE.
Peak positions follow from Bragg's law for the DFT cell and can differ from measured ones.

Principal peaks in the range 2θ = 10–90°, sorted by position:
2θ (°), d (Å), Rel. int.
19.92, 4.457, 100
23.04, 3.860, 53
32.82, 2.729, 43
38.69, 2.327, 54
40.48, 2.228, 16
51.61, 1.771, 23
53.06, 1.726, 21
58.58, 1.576, 16
62.52, 1.486, 17
72.43, 1.305, 17

Cell: 7.719 7.719 7.719 Å, 90.00 90.00 90.00°
Space group Fm-3m (No. 225)
Symmetry-distinct sites (fractional):
Cs 0.000 0.000 0.000 [4 per cell]